Theoretical powder diffraction line list
Compound: Mg2PbAu
Radiation: λ = 1.5418 Å (Cu Kα)
Structure: a cell relaxed with GGA-PBE
Peak positions follow from Bragg's law for the DFT cell and can differ from measured ones.

Structure:
Cell lengths 6.8209, 6.8209, 6.8209 Å; angles 151.70, 141.07, 48.83 degrees
Fractional coordinates of all 4 atoms:
Mg1 0.0000 0.0000 0.0000
Mg2 0.6952 0.1952 0.5000
Pb1 0.3034 0.8034 0.5000
Au1 0.5194 0.5194 0.0000

Largest 10 diffraction maxima, low angle first, 2θ from 15° to 90°:
2θ/deg	I_rel
20.81	88
27.69	25
28.75	34
34.53	40
36.41	100
39.65	22
41.42	29
49.71	15
53.58	23
69.97	19